Entry 1:
# PaSiTc2
Theoretical powder XRD pattern, Cu Kα (λ = 1.5418 Å). Input: a crystal structure in Alexandria, relaxed with GGA-PBE.
Neutral-atom scattering factors, no anomalous dispersion.

Atomic structure:
```
data_PaSiTc2
_space_group_name_H-M_alt 'P n m a'
_space_group_IT_number 62
_cell_length_a 5.742
_cell_length_b 4.393
_cell_length_c 11.279
_cell_angle_alpha 90.00
_cell_angle_beta 90.00
_cell_angle_gamma 90.00
loop_
_space_group_symop_operation_xyz
'x,y,z'
'-x,-y,-z'
'-x+1/2,-y,z+1/2'
'x+1/2,y,-z+1/2'
'x+1/2,-y+1/2,-z+1/2'
'-x+1/2,y+1/2,z+1/2'
'-x,y+1/2,-z'
'x,-y+1/2,z'
loop_
_atom_site_label
_atom_site_fract_x
_atom_site_fract_y
_atom_site_fract_z
_atom_site_occupancy
Pa1 0.128 0.250 0.116 1
Si1 0.003 0.250 0.572 1
Tc1 0.142 0.250 0.367 1
Tc2 0.150 0.250 0.774 1
```

The 10 most intense peaks (2θ = 10–90°), in order of rising 2θ:
2theta, Rel. int., h k l
21.7, 27.4, 0 1 1
31.3, 85.5, 0 1 3
31.7, 25.6, 0 0 4
37.4, 100.0, 2 1 0
39.5, 52.3, 2 0 3
41.1, 55.0, 0 2 0
45.2, 28.2, 0 1 5
49.9, 28.6, 2 1 4
58.3, 34.2, 2 2 3
73.9, 22.0, 4 1 3

---

Entry 2:
# CuH2SeO5
Theoretical powder XRD pattern, Cu Kα (λ = 1.5418 Å). Input: a crystal structure in Alexandria, relaxed with GGA-PBE.
Neutral-atom scattering factors, no anomalous dispersion.

Atomic structure:
```
data_CuH2SeO5
_space_group_name_H-M_alt 'P -1'
_space_group_IT_number 2
_cell_length_a 5.198
_cell_length_b 5.691
_cell_length_c 7.702
_cell_angle_alpha 100.39
_cell_angle_beta 107.14
_cell_angle_gamma 99.32
loop_
_space_group_symop_operation_xyz
'x,y,z'
'-x,-y,-z'
loop_
_atom_site_label
_atom_site_fract_x
_atom_site_fract_y
_atom_site_fract_z
_atom_site_occupancy
Cu1 0.000 0.000 0.000 1
Cu2 0.500 0.500 0.500 1
H1 0.023 0.666 0.674 1
H2 0.110 0.536 0.232 1
Se1 0.423 0.114 0.767 1
O1 0.141 0.396 0.289 1
O2 0.224 0.815 0.156 1
O3 0.297 0.826 0.641 1
O4 0.319 0.176 0.955 1
O5 0.322 0.314 0.640 1
```

The 10 most intense peaks (2θ = 10–90°), in order of rising 2θ:
2theta, Rel. int., h k l
16.3, 35.4, 0 1 0
18.4, 44.9, 1 0 0
22.8, 100.0, 0 1 1
23.8, 34.9, -1 1 1
25.5, 33.7, 1 0 1
26.1, 26.9, 1 -1 1
29.5, 50.6, 1 1 -2
31.5, 25.3, -1 1 2
34.9, 37.3, 1 -1 2
35.5, 26.8, 1 -2 1

---

Entry 3:
# CsTiRu2
Theoretical powder XRD pattern, Cu Kα (λ = 1.5418 Å). Input: a crystal structure in Alexandria, relaxed with GGA-PBE.
Neutral-atom scattering factors, no anomalous dispersion.

Atomic structure:
```
data_CsTiRu2
_space_group_name_H-M_alt 'F m -3 m'
_space_group_IT_number 225
_space_group_name_Hall '-F 4 2 3'
_cell_length_a 6.684
_cell_length_b 6.684
_cell_length_c 6.684
_cell_angle_alpha 90.00
_cell_angle_beta 90.00
_cell_angle_gamma 90.00
loop_
_atom_site_label
_atom_site_fract_x
_atom_site_fract_y
_atom_site_fract_z
_atom_site_occupancy
Cs1 0.000 0.000 0.000 1
Ti1 0.000 0.000 0.500 1
Ru1 0.250 0.250 0.250 1
```

The 10 most intense peaks (2θ = 10–90°), in order of rising 2θ:
2theta, Rel. int., h k l
23.0, 11.1, 1 1 1
26.7, 0.8, 2 0 0
38.1, 100.0, 2 2 0
45.0, 5.8, 3 1 1
55.0, 16.8, 4 0 0
60.4, 2.6, 3 3 1
68.8, 33.7, 4 2 2
73.6, 2.0, 5 1 1
81.5, 10.5, 4 4 0
86.1, 2.1, 5 3 1

---

Entry 4:
# MgURu4
Theoretical powder XRD pattern, Cu Kα (λ = 1.5418 Å). Input: a crystal structure in Alexandria, relaxed with GGA-PBE.
Neutral-atom scattering factors, no anomalous dispersion.

Atomic structure:
```
data_MgURu4
_space_group_name_H-M_alt 'F -4 3 m'
_space_group_IT_number 216
_space_group_name_Hall 'F -4 2 3'
_cell_length_a 7.402
_cell_length_b 7.402
_cell_length_c 7.402
_cell_angle_alpha 90.00
_cell_angle_beta 90.00
_cell_angle_gamma 90.00
loop_
_atom_site_label
_atom_site_fract_x
_atom_site_fract_y
_atom_site_fract_z
_atom_site_occupancy
Mg1 0.000 0.000 0.000 1
U1 0.250 0.250 0.750 1
Ru1 0.126 0.126 0.374 1
```

The 10 most intense peaks (2θ = 10–90°), in order of rising 2θ:
2theta, Rel. int., h k l
20.8, 21.7, 1 1 1
24.0, 23.3, 2 0 0
34.3, 29.8, 2 2 0
40.4, 100.0, 3 1 1
42.3, 36.5, 2 2 2
61.4, 11.5, 4 2 2
65.5, 32.5, 5 1 1
72.2, 23.6, 4 4 0
86.1, 11.9, 5 3 3
87.4, 13.8, 6 2 2

---

Entry 5:
# CeIrPd
Theoretical powder XRD pattern, Cu Kα (λ = 1.5418 Å). Input: a crystal structure in Alexandria, relaxed with GGA-PBE.
Neutral-atom scattering factors, no anomalous dispersion.

Atomic structure:
```
data_CeIrPd
_space_group_name_H-M_alt 'I 4 m m'
_space_group_IT_number 107
_space_group_name_Hall 'I 4 -2'
_cell_length_a 3.593
_cell_length_b 3.593
_cell_length_c 9.054
_cell_angle_alpha 90.00
_cell_angle_beta 90.00
_cell_angle_gamma 90.00
loop_
_atom_site_label
_atom_site_fract_x
_atom_site_fract_y
_atom_site_fract_z
_atom_site_occupancy
Ce1 0.000 0.000 0.000 1
Ir1 0.000 0.000 0.355 1
Pd1 0.000 0.000 0.682 1
```

The 10 most intense peaks (2θ = 10–90°), in order of rising 2θ:
2theta, Rel. int., h k l
19.6, 7.9, 0 0 2
35.3, 67.6, 1 1 0
39.0, 100.0, 1 0 3
50.8, 24.1, 2 0 0
65.9, 42.7, 2 1 3
72.9, 14.4, 1 1 6
74.7, 7.6, 2 2 0
83.7, 10.1, 2 0 6
85.5, 11.0, 3 1 0
87.7, 10.1, 3 0 3

---

Entry 6:
# Be2CuAg
Theoretical powder XRD pattern, Cu Kα (λ = 1.5418 Å). Input: a crystal structure in Alexandria, relaxed with GGA-PBE.
Neutral-atom scattering factors, no anomalous dispersion.

Atomic structure:
```
data_Be2CuAg
_space_group_name_H-M_alt 'F m -3 m'
_space_group_IT_number 225
_space_group_name_Hall '-F 4 2 3'
_cell_length_a 5.666
_cell_length_b 5.666
_cell_length_c 5.666
_cell_angle_alpha 90.00
_cell_angle_beta 90.00
_cell_angle_gamma 90.00
loop_
_atom_site_label
_atom_site_fract_x
_atom_site_fract_y
_atom_site_fract_z
_atom_site_occupancy
Be1 0.250 0.250 0.250 1
Cu1 0.000 0.000 0.000 1
Ag1 0.000 0.000 0.500 1
```

The 10 most intense peaks (2θ = 10–90°), in order of rising 2θ:
2theta, Rel. int., h k l
27.3, 12.7, 1 1 1
31.6, 100.0, 2 0 0
45.3, 93.3, 2 2 0
53.6, 5.5, 3 1 1
56.2, 24.2, 2 2 2
65.9, 14.2, 4 0 0
72.7, 2.3, 3 3 1
75.0, 29.2, 4 2 0
83.6, 29.0, 4 2 2
90.0, 2.0, 5 1 1

---

Entry 7:
# DyY3Ru3
Theoretical powder XRD pattern, Cu Kα (λ = 1.5418 Å). Input: a crystal structure in Alexandria, relaxed with GGA-PBE.
Neutral-atom scattering factors, no anomalous dispersion.

Atomic structure:
```
data_DyY3Ru3
_space_group_name_H-M_alt 'R 3 m'
_space_group_IT_number 160
_space_group_name_Hall 'R 3 -2"'
_cell_length_a 9.5389
_cell_length_b 9.5389
_cell_length_c 5.8711
_cell_angle_alpha 90.00
_cell_angle_beta 90.00
_cell_angle_gamma 120.00
loop_
_atom_site_label
_atom_site_fract_x
_atom_site_fract_y
_atom_site_fract_z
_atom_site_occupancy
Dy1 0.0000 0.0000 0.0000 1
Y1 0.0574 0.5287 0.1138 1
Ru1 0.0006 0.5003 0.5848 1
```

The 10 most intense peaks (2θ = 10–90°), in order of rising 2θ:
2theta, Rel. int., h k l
18.5, 28.7, 1 0 1
32.4, 23.0, 0 1 2
32.5, 68.1, 2 1 1
37.6, 91.2, 2 0 2
37.7, 100.0, 2 2 0
42.3, 27.2, 1 3 1
54.3, 22.0, 0 4 2
57.9, 28.4, 2 3 2
64.8, 14.2, 5 1 1
68.0, 30.7, 6 0 0

---

Entry 8:
# ThMn9Si4
Theoretical powder XRD pattern, Cu Kα (λ = 1.5418 Å). Input: a crystal structure in Alexandria, relaxed with GGA-PBE.
Neutral-atom scattering factors, no anomalous dispersion.

Atomic structure:
```
data_ThMn9Si4
_space_group_name_H-M_alt 'I 4/m c m'
_space_group_IT_number 140
_space_group_name_Hall '-I 4 2c'
_cell_length_a 7.866
_cell_length_b 7.866
_cell_length_c 11.638
_cell_angle_alpha 90.00
_cell_angle_beta 90.00
_cell_angle_gamma 90.00
loop_
_atom_site_label
_atom_site_fract_x
_atom_site_fract_y
_atom_site_fract_z
_atom_site_occupancy
Th1 0.000 0.000 0.250 1
Mn1 0.000 0.500 0.000 1
Mn2 0.058 0.191 0.000 1
Mn3 0.120 0.380 0.176 1
Si1 0.175 0.325 0.379 1
```

The 10 most intense peaks (2θ = 10–90°), in order of rising 2θ:
2theta, Rel. int., h k l
22.1, 21.1, 1 1 2
22.6, 30.3, 2 0 0
27.4, 23.8, 2 0 2
34.8, 36.7, 1 1 4
35.8, 31.8, 2 2 2
36.1, 22.6, 3 1 0
38.5, 36.6, 2 0 4
39.4, 100.0, 3 1 2
46.8, 18.9, 0 0 6
47.8, 24.8, 3 2 3

---

Entry 9:
# Ta2Mo2W7
Theoretical powder XRD pattern, Cu Kα (λ = 1.5418 Å). Input: a crystal structure in Alexandria, relaxed with GGA-PBE.
Neutral-atom scattering factors, no anomalous dispersion.

Atomic structure:
```
data_Ta2Mo2W7
_space_group_name_H-M_alt 'C 1 2/m 1'
_space_group_IT_number 12
_cell_length_a 5.403
_cell_length_b 9.059
_cell_length_c 8.039
_cell_angle_alpha 90.00
_cell_angle_beta 104.21
_cell_angle_gamma 90.00
loop_
_space_group_symop_operation_xyz
'x,y,z'
'-x,-y,-z'
'-x,y,-z'
'x,-y,z'
'x+1/2,y+1/2,z'
'-x+1/2,-y+1/2,-z'
'-x+1/2,y+1/2,-z'
'x+1/2,-y+1/2,z'
loop_
_atom_site_label
_atom_site_fract_x
_atom_site_fract_y
_atom_site_fract_z
_atom_site_occupancy
Ta1 0.000 0.243 0.000 1
Mo1 0.096 0.000 0.819 1
W1 0.000 0.500 0.500 1
W2 0.102 0.500 0.835 1
W3 0.214 0.243 0.661 1
```

The 10 most intense peaks (2θ = 10–90°), in order of rising 2θ:
2theta, Rel. int., h k l
19.6, 25.5, 0 2 0
38.9, 62.5, 2 0 1
39.8, 63.7, 0 4 0
40.0, 100.0, 0 2 3
41.6, 45.3, 2 2 -2
56.9, 19.6, 2 4 1
70.0, 11.1, 2 2 4
72.4, 20.6, 0 6 3
75.6, 12.4, 2 4 -5
86.3, 10.9, 0 4 6

---

Entry 10:
# Er3CoRu
Theoretical powder XRD pattern, Cu Kα (λ = 1.5418 Å). Input: a crystal structure in Alexandria, relaxed with GGA-PBE.
Neutral-atom scattering factors, no anomalous dispersion.

Atomic structure:
```
data_Er3CoRu
_space_group_name_H-M_alt 'P m m n'
_space_group_IT_number 59
_cell_length_a 4.219
_cell_length_b 8.615
_cell_length_c 5.971
_cell_angle_alpha 90.00
_cell_angle_beta 90.00
_cell_angle_gamma 90.00
loop_
_space_group_symop_operation_xyz
'x,y,z'
'-x,-y,-z'
'-x+1/2,-y+1/2,z'
'x+1/2,y+1/2,-z'
'x+1/2,-y,-z'
'-x+1/2,y,z'
'-x,y+1/2,-z'
'x,-y+1/2,z'
loop_
_atom_site_label
_atom_site_fract_x
_atom_site_fract_y
_atom_site_fract_z
_atom_site_occupancy
Er1 0.250 0.050 0.247 1
Er2 0.250 0.250 0.748 1
Co1 0.250 0.750 0.534 1
Ru1 0.250 0.750 0.942 1
```

The 10 most intense peaks (2θ = 10–90°), in order of rising 2θ:
2theta, Rel. int., h k l
29.9, 18.4, 0 0 2
33.3, 100.0, 1 2 1
34.7, 27.8, 0 3 1
38.4, 46.3, 1 1 2
41.9, 10.8, 0 4 0
42.9, 23.2, 2 0 0
56.3, 29.0, 0 3 3
66.5, 22.9, 1 5 2
73.2, 13.9, 2 3 3
88.0, 12.2, 1 2 5

---

Entry 11:
# Dy2Er5Sc5
Theoretical powder XRD pattern, Cu Kα (λ = 1.5418 Å). Input: a crystal structure in Alexandria, relaxed with GGA-PBE.
Neutral-atom scattering factors, no anomalous dispersion.

Atomic structure:
```
data_Dy2Er5Sc5
_space_group_name_H-M_alt 'C 1 2/m 1'
_space_group_IT_number 12
_cell_length_a 14.465
_cell_length_b 4.814
_cell_length_c 10.796
_cell_angle_alpha 90.00
_cell_angle_beta 116.49
_cell_angle_gamma 90.00
loop_
_space_group_symop_operation_xyz
'x,y,z'
'-x,-y,-z'
'-x,y,-z'
'x,-y,z'
'x+1/2,y+1/2,z'
'-x+1/2,-y+1/2,-z'
'-x+1/2,y+1/2,-z'
'x+1/2,-y+1/2,z'
loop_
_atom_site_label
_atom_site_fract_x
_atom_site_fract_y
_atom_site_fract_z
_atom_site_occupancy
Dy1 0.083 0.000 0.246 1
Er1 0.000 0.500 0.000 1
Er2 0.088 0.500 0.752 1
Er3 0.165 0.500 0.500 1
Sc1 0.000 0.000 0.500 1
Sc2 0.171 0.000 0.001 1
Sc3 0.250 0.000 0.753 1
```

The 10 most intense peaks (2θ = 10–90°), in order of rising 2θ:
2theta, Rel. int., h k l
19.7, 8.1, 2 0 1
32.2, 100.0, 3 1 1
37.3, 33.4, 0 0 4
37.4, 16.7, 0 2 0
53.7, 23.0, 0 2 4
53.8, 11.4, 6 2 -2
63.9, 13.5, 3 1 5
64.1, 20.0, 3 3 1
67.3, 11.5, 6 2 -6
88.4, 8.5, 3 3 5

---

Entry 12:
# Pm2ErIn5
Theoretical powder XRD pattern, Cu Kα (λ = 1.5418 Å). Input: a crystal structure in Alexandria, relaxed with GGA-PBE.
Neutral-atom scattering factors, no anomalous dispersion.

Atomic structure:
```
data_Pm2ErIn5
_space_group_name_H-M_alt 'I 4 m m'
_space_group_IT_number 107
_space_group_name_Hall 'I 4 -2'
_cell_length_a 7.107
_cell_length_b 7.107
_cell_length_c 8.507
_cell_angle_alpha 90.00
_cell_angle_beta 90.00
_cell_angle_gamma 90.00
loop_
_atom_site_label
_atom_site_fract_x
_atom_site_fract_y
_atom_site_fract_z
_atom_site_occupancy
Pm1 0.000 0.500 0.000 1
Er1 0.000 0.000 0.088 1
In1 0.000 0.000 0.472 1
In2 0.216 0.216 0.759 1
```

The 10 most intense peaks (2θ = 10–90°), in order of rising 2θ:
2theta, Rel. int., h k l
30.0, 12.1, 2 1 1
32.8, 100.0, 2 0 2
34.0, 13.2, 1 0 3
35.7, 44.1, 2 2 0
39.5, 11.0, 3 0 1
42.5, 8.4, 0 0 4
51.4, 12.9, 4 0 0
56.7, 11.2, 2 2 4
56.9, 12.3, 3 2 3
62.4, 21.5, 4 2 2